For Pr3HoZn2, a cell relaxed with PBE gives the theoretical X-ray diffraction stick pattern in this record (copper Kα).
Intensities are scaled so that the largest is 100.

Main lines, in order of rising 2θ (2θ = 10–80°):
2θ = 32.4°, I 25; 2θ = 32.9°, I 27; 2θ = 33.4°, I 100; 2θ = 46.9°, I 18; 2θ = 58.4°, I 15; 2θ = 59.1°, I 19; 2θ = 70.1°, I 11; 2θ = 78.3°, I 10

```
12
Lattice="5.441 0.000 0.000 0.000 16.576 0.000 0.000 0.000 3.726" Properties=species:S:1:pos:R:3 pbc="T T T"
Pr 0.000 0.000 0.000
Pr 0.000 5.307 0.000
Pr 0.000 11.269 0.000
Pr 2.720 2.981 0.000
Pr 2.720 8.288 0.000
Pr 2.720 13.595 0.000
Ho 0.000 8.288 1.863
Ho 2.720 0.000 1.863
Zn 0.000 2.594 1.863
Zn 0.000 13.982 1.863
Zn 2.720 5.694 1.863
Zn 2.720 10.882 1.863
```

***

For AlSe3, a cell relaxed with PBE gives the theoretical X-ray diffraction stick pattern in this record (copper Kα).
Intensities are scaled so that the largest is 100.

Main lines, in order of rising 2θ (2θ = 10–80°):
2θ = 27.2°, I 52; 2θ = 31.1°, I 100; 2θ = 36.6°, I 59; 2θ = 44.2°, I 33; 2θ = 50.5°, I 23; 2θ = 53.0°, I 18; 2θ = 65.5°, I 21; 2θ = 78.8°, I 19

```
4
Lattice="5.146 0.000 0.000 0.000 3.501 0.000 -0.975 0.000 5.060" Properties=species:S:1:pos:R:3 pbc="T T T"
Al 0.000 0.000 0.000
Se 0.494 1.751 1.801
Se 2.573 0.000 0.000
Se 3.676 1.751 3.259
```

***

For TbCeGa2Cu2, a cell relaxed with PBE gives the theoretical X-ray diffraction stick pattern in this record (copper Kα).
Intensities are scaled so that the largest is 100.

Main lines, in order of rising 2θ (2θ = 10–80°):
2θ = 23.5°, I 16; 2θ = 34.2°, I 100; 2θ = 41.2°, I 52; 2θ = 50.4°, I 9; 2θ = 54.6°, I 26; 2θ = 67.1°, I 23; 2θ = 70.7°, I 23; 2θ = 75.2°, I 8

```
6
Lattice="4.379 0.000 0.000 -2.190 3.792 0.000 0.000 0.000 7.246" Properties=species:S:1:pos:R:3 pbc="T T T"
Tb 0.000 0.000 0.000
Ce 0.000 0.000 3.623
Ga 0.000 2.528 5.426
Ga 2.190 1.264 1.820
Cu 0.000 2.528 1.735
Cu 2.190 1.264 5.511
```

***

For AlCoI2N, a cell relaxed with PBE gives the theoretical X-ray diffraction stick pattern in this record (copper Kα).
Intensities are scaled so that the largest is 100.

Main lines, in order of rising 2θ (2θ = 10–80°):
2θ = 22.8°, I 41; 2θ = 25.2°, I 56; 2θ = 32.4°, I 100; 2θ = 34.2°, I 72; 2θ = 41.5°, I 60; 2θ = 46.5°, I 35; 2θ = 59.0°, I 29; 2θ = 62.4°, I 28

```
5
Lattice="5.520 0.000 0.000 0.000 5.520 0.000 0.000 0.000 3.531" Properties=species:S:1:pos:R:3 pbc="T T T"
Al 0.000 0.000 0.000
Co 2.760 2.760 1.766
I 0.000 2.760 1.766
I 2.760 0.000 1.766
N 2.760 2.760 0.000
```

***

For Ti2PbSe2, a cell relaxed with PBE gives the theoretical X-ray diffraction stick pattern in this record (copper Kα).
Intensities are scaled so that the largest is 100.

Main lines, in order of rising 2θ (2θ = 10–80°):
2θ = 21.1°, I 27; 2θ = 27.2°, I 46; 2θ = 32.6°, I 51; 2θ = 32.9°, I 100; 2θ = 38.9°, I 52; 2θ = 51.8°, I 56; 2θ = 56.2°, I 18; 2θ = 61.9°, I 23

```
10
Lattice="4.631 0.000 0.000 0.000 4.631 0.000 0.000 0.000 10.118" Properties=species:S:1:pos:R:3 pbc="T T T"
Ti 0.000 2.316 2.529
Ti 0.000 2.316 7.588
Ti 2.316 0.000 2.529
Ti 2.316 0.000 7.588
Pb 0.000 0.000 0.000
Pb 2.316 2.316 5.059
Se 0.000 0.000 3.542
Se 0.000 0.000 6.576
Se 2.316 2.316 1.517
Se 2.316 2.316 8.601
```

***

For Ti3Al5, a cell relaxed with PBE gives the theoretical X-ray diffraction stick pattern in this record (copper Kα).
Intensities are scaled so that the largest is 100.

Main lines, in order of rising 2θ (2θ = 10–80°):
2θ = 39.0°, I 100; 2θ = 44.7°, I 16; 2θ = 45.1°, I 16; 2θ = 46.2°, I 15; 2θ = 65.4°, I 10; 2θ = 66.5°, I 10; 2θ = 78.6°, I 10; 2θ = 79.1°, I 11

```
8
Lattice="3.927 0.000 0.000 0.000 4.024 0.000 0.000 0.000 8.106" Properties=species:S:1:pos:R:3 pbc="T T T"
Ti 0.000 0.000 0.000
Ti 1.963 0.000 2.145
Ti 1.963 0.000 5.961
Al 0.000 0.000 4.053
Al 0.000 2.012 1.960
Al 0.000 2.012 6.146
Al 1.963 2.012 0.000
Al 1.963 2.012 4.053
```

***

For Ce2GaAu3, a cell relaxed with PBE gives the theoretical X-ray diffraction stick pattern in this record (copper Kα).
Intensities are scaled so that the largest is 100.

Main lines, in order of rising 2θ (2θ = 10–80°):
2θ = 25.6°, I 19; 2θ = 33.7°, I 47; 2θ = 33.9°, I 100; 2θ = 38.0°, I 80; 2θ = 38.4°, I 41; 2θ = 52.0°, I 28; 2θ = 52.6°, I 16; 2θ = 66.7°, I 31

```
6
Lattice="3.481 0.000 0.000 0.000 4.692 0.000 0.000 0.000 8.217" Properties=species:S:1:pos:R:3 pbc="T T T"
Ce 0.000 0.000 0.000
Ce 0.000 2.346 4.005
Ga 1.741 2.346 6.751
Au 1.741 0.000 2.732
Au 1.741 0.000 5.536
Au 1.741 2.346 1.187
```

***

For Tl3BiPb, a cell relaxed with PBE gives the theoretical X-ray diffraction stick pattern in this record (copper Kα).
Intensities are scaled so that the largest is 100.

Main lines, in order of rising 2θ (2θ = 10–80°):
2θ = 30.2°, I 61; 2θ = 30.6°, I 58; 2θ = 31.4°, I 100; 2θ = 32.8°, I 36; 2θ = 34.3°, I 46; 2θ = 40.0°, I 32; 2θ = 62.1°, I 16; 2θ = 62.3°, I 16

```
10
Lattice="5.223 0.000 0.000 0.000 6.928 0.000 -2.497 0.000 8.893" Properties=species:S:1:pos:R:3 pbc="T T T"
Tl 0.020 0.030 1.816
Tl 0.020 3.434 1.816
Tl 0.061 5.196 5.290
Tl 2.665 1.732 3.603
Tl 2.706 3.494 7.077
Tl 2.706 6.899 7.077
Bi 0.068 1.732 5.609
Bi 2.658 5.196 3.284
Pb 0.128 1.732 8.818
Pb 2.598 5.196 0.075
```

***

For La2Al3Cd5, a cell relaxed with PBE gives the theoretical X-ray diffraction stick pattern in this record (copper Kα).
Intensities are scaled so that the largest is 100.

Main lines, in order of rising 2θ (2θ = 10–80°):
2θ = 24.8°, I 24; 2θ = 29.9°, I 29; 2θ = 32.0°, I 100; 2θ = 40.4°, I 44; 2θ = 42.5°, I 21; 2θ = 58.4°, I 14; 2θ = 60.1°, I 14; 2θ = 68.2°, I 21

```
10
Lattice="4.469 0.000 0.000 0.000 4.469 0.000 0.000 0.000 12.079" Properties=species:S:1:pos:R:3 pbc="T T T"
La 0.000 2.234 2.738
La 2.234 0.000 9.342
Al 0.000 0.000 0.000
Al 0.000 2.234 10.512
Al 2.234 0.000 1.568
Cd 0.000 0.000 6.040
Cd 0.000 2.234 7.886
Cd 2.234 0.000 4.194
Cd 2.234 2.234 0.000
Cd 2.234 2.234 6.040
```

***

For Li5SnPd, a cell relaxed with PBE gives the theoretical X-ray diffraction stick pattern in this record (copper Kα).
Intensities are scaled so that the largest is 100.

Main lines, in order of rising 2θ (2θ = 10–80°):
2θ = 19.5°, I 57; 2θ = 20.2°, I 100; 2θ = 32.7°, I 18; 2θ = 34.5°, I 27; 2θ = 38.4°, I 17; 2θ = 38.7°, I 45; 2θ = 41.0°, I 20; 2θ = 48.3°, I 24

```
14
Lattice="5.027 0.000 0.000 0.000 5.475 0.000 0.000 0.000 9.101" Properties=species:S:1:pos:R:3 pbc="T T T"
Li 0.000 0.000 0.000
Li 0.000 1.479 2.146
Li 0.000 3.996 2.146
Li 1.194 2.737 8.515
Li 1.319 0.000 3.965
Li 2.513 1.259 6.697
Li 2.513 2.737 4.550
Li 2.513 4.216 6.697
Li 3.708 0.000 3.965
Li 3.833 2.737 8.515
Sn 0.000 0.000 6.375
Sn 2.513 2.737 1.825
Pd 0.000 2.737 6.156
Pd 2.513 0.000 1.606
```

***

For CaNd8, a cell relaxed with PBE gives the theoretical X-ray diffraction stick pattern in this record (copper Kα).
Intensities are scaled so that the largest is 100.

Main lines, in order of rising 2θ (2θ = 10–80°):
2θ = 29.6°, I 100; 2θ = 34.3°, I 51; 2θ = 49.3°, I 24; 2θ = 49.4°, I 12; 2θ = 58.5°, I 25; 2θ = 58.6°, I 14; 2θ = 61.4°, I 9; 2θ = 79.9°, I 9

```
9
Lattice="3.203 -5.554 0.000 3.203 5.554 0.000 -0.017 0.000 9.038" Properties=species:S:1:pos:R:3 pbc="T T T"
Ca 0.000 0.000 0.000
Nd 2.110 3.670 5.999
Nd 3.203 1.850 0.000
Nd 4.278 3.670 3.039
Nd 2.161 0.000 5.998
Nd 4.226 0.000 3.040
Nd 2.110 -3.670 5.999
Nd 3.203 -1.850 0.000
Nd 4.278 -3.670 3.039
```

***

For AcZn4Pd2, a cell relaxed with PBE gives the theoretical X-ray diffraction stick pattern in this record (copper Kα).
Intensities are scaled so that the largest is 100.

Main lines, in order of rising 2θ (2θ = 10–80°):
2θ = 23.9°, I 22; 2θ = 32.2°, I 35; 2θ = 33.1°, I 100; 2θ = 36.1°, I 39; 2θ = 38.8°, I 23; 2θ = 42.2°, I 50; 2θ = 42.8°, I 30; 2θ = 63.1°, I 23

```
14
Lattice="7.859 0.000 0.000 0.000 7.859 0.000 0.000 0.000 4.228" Properties=species:S:1:pos:R:3 pbc="T T T"
Ac 0.000 0.000 0.000
Ac 3.930 3.930 2.114
Zn 0.700 2.767 2.114
Zn 1.162 4.630 0.000
Zn 2.767 0.700 2.114
Zn 3.229 6.697 0.000
Zn 4.630 1.162 0.000
Zn 5.092 7.159 2.114
Zn 6.697 3.229 0.000
Zn 7.159 5.092 2.114
Pd 1.745 6.115 2.114
Pd 2.185 2.185 0.000
Pd 5.674 5.674 0.000
Pd 6.115 1.745 2.114
```